# Ba4Ir3O10
Computed powder diffraction line list, CuKα. Input: a DFT-relaxed cell (PBE, the Materials Project).

```
Ba4Ir3O10
1.0
2.919 -6.704 0.000
2.919 6.704 0.000
0.000 0.000 13.518
Ba Ir O
8 6 20
direct
0.039 0.961 0.860
0.243 0.757 0.621
0.257 0.743 0.121
0.461 0.539 0.360
0.539 0.461 0.640
0.743 0.257 0.879
0.757 0.243 0.379
0.961 0.039 0.140
0.000 0.000 0.500
0.120 0.880 0.350
0.380 0.620 0.850
0.500 0.500 0.000
0.620 0.380 0.150
0.880 0.120 0.650
0.040 0.960 0.647
0.116 0.341 0.534
0.148 0.352 0.750
0.159 0.384 0.966
0.231 0.769 0.836
0.269 0.731 0.336
0.341 0.116 0.466
0.352 0.148 0.250
0.384 0.159 0.034
0.460 0.540 0.147
0.540 0.460 0.853
0.616 0.841 0.966
0.648 0.852 0.750
0.659 0.884 0.534
0.731 0.269 0.664
0.769 0.231 0.164
0.841 0.616 0.034
0.852 0.648 0.250
0.884 0.659 0.466
0.960 0.040 0.353
```

Most intense lines, 10° ≤ 2θ ≤ 90°, most intense first:
- 3.142 Å, 2θ = 28.4°, intensity 100
- 2.788 Å, 2θ = 32.1°, intensity 55
- 2.919 Å, 2θ = 30.6°, intensity 53
- 2.207 Å, 2θ = 40.9°, intensity 40
- 4.977 Å, 2θ = 17.8°, intensity 34
- 1.724 Å, 2θ = 53.1°, intensity 31